# 1
Calculated XRD peak list
Compound: RbUAgSe3
Radiation: Cu Kα, 1.54184 Å
Structure: a structure optimized by DFT (PBE)
Intensities are scaled so that the largest is 100.

Structural model:
```
12
Lattice="2.138 -7.715 0.000 2.138 7.715 0.000 0.000 0.000 10.921" Properties=species:S:1:pos:R:3 pbc="T T T"
Rb 2.138 3.918 8.191
Rb 2.138 -3.918 2.730
U 2.138 0.000 0.000
U 2.138 0.000 5.460
Ag 2.138 7.077 2.730
Ag 2.138 -7.077 8.191
Se 2.138 5.834 0.433
Se 2.138 5.834 5.027
Se 2.138 0.970 2.730
Se 2.138 -0.970 8.191
Se 2.138 -5.834 5.894
Se 2.138 -5.834 10.487
```

Peak list (8 most intense, 2θ = 10–90°, low angle first)
7.715 Å, rel. 100
3.289 Å, rel. 46
3.149 Å, rel. 42
2.817 Å, rel. 55
2.730 Å, rel. 38
2.275 Å, rel. 42
2.138 Å, rel. 21
1.819 Å, rel. 24

***

# 2
Calculated XRD peak list
Compound: Rb2VAgSe4
Radiation: Cu Kα, 1.54184 Å
Structure: a structure optimized by DFT (PBE)
Intensities are scaled so that the largest is 100.

Structural model:
```
16
Lattice="0.000 7.076 12.269 3.026 0.000 12.269 3.026 7.076 0.000" Properties=species:S:1:pos:R:3 pbc="T T T"
Rb 2.269 5.307 1.372
Rb 3.782 8.845 7.506
Rb 2.269 5.307 17.031
Rb 3.782 8.845 23.166
V 0.756 1.769 3.067
V 5.295 12.383 21.470
Ag 2.269 5.307 9.202
Ag 3.782 8.845 15.336
Se 2.013 3.158 4.444
Se 4.039 6.696 10.579
Se 2.526 7.456 4.444
Se 2.526 3.158 13.959
Se 3.526 10.994 10.579
Se 3.526 6.696 20.093
Se 2.013 7.456 13.959
Se 4.039 10.994 20.093
```

Peak list (8 most intense, 2θ = 10–90°, low angle first)
6.132 Å, rel. 59
3.541 Å, rel. 32
3.387 Å, rel. 100
2.965 Å, rel. 40
2.447 Å, rel. 21
2.432 Å, rel. 33
2.043 Å, rel. 20
1.860 Å, rel. 23

***

# 3
Calculated XRD peak list
Compound: Rb2VAgSe4
Radiation: Cu Kα, 1.54184 Å
Structure: a structure optimized by DFT (PBE)
Intensities are scaled so that the largest is 100.

Structural model:
```
16
Lattice="6.052 0.000 0.000 3.026 7.076 0.000 3.026 0.000 12.269" Properties=species:S:1:pos:R:3 pbc="T T T"
Rb 0.000 0.000 0.000
Rb 4.537 3.606 9.536
Rb 2.958 0.053 3.435
Rb 7.576 3.557 6.145
V 2.964 0.067 7.816
V 7.566 3.558 1.677
Ag 4.520 3.551 1.664
Ag 6.063 0.022 7.832
Se 4.721 5.694 6.486
Se 2.707 2.154 0.297
Se 4.239 1.372 6.472
Se 7.271 5.681 9.251
Se 6.308 4.979 0.302
Se 6.294 2.183 3.040
Se 7.816 1.452 9.242
Se 8.768 4.922 3.114
```

Peak list (8 most intense, 2θ = 10–90°, low angle first)
6.132 Å, rel. 57
3.541 Å, rel. 32
3.387 Å, rel. 100
3.067 Å, rel. 17
2.965 Å, rel. 40
2.432 Å, rel. 34
2.043 Å, rel. 20
1.860 Å, rel. 22

***

# 4
Calculated XRD peak list
Compound: Rb2VAgSe2
Radiation: Cu Kα, 1.54184 Å
Structure: a structure optimized by DFT (PBE)
Intensities are scaled so that the largest is 100.

Structural model:
```
24
Lattice="0.000 5.529 20.746 4.552 0.000 20.746 4.552 5.529 0.000" Properties=species:S:1:pos:R:3 pbc="T T T"
Rb 3.174 2.033 7.487
Rb 5.931 4.797 17.860
Rb 3.655 6.261 7.487
Rb 3.655 2.033 23.632
Rb 5.450 9.026 17.860
Rb 5.450 4.797 34.005
Rb 3.174 6.261 23.632
Rb 5.931 9.026 34.005
V 0.000 0.000 0.000
V 2.276 2.765 0.000
V 2.276 0.000 10.373
V 0.000 2.765 10.373
Ag 4.552 2.765 10.373
Ag 2.276 5.529 10.373
Ag 2.276 2.765 20.746
Ag 4.552 5.529 20.746
Se 4.384 2.248 19.558
Se 2.444 2.248 11.561
Se 6.660 5.013 21.934
Se 4.384 6.045 11.561
Se 4.721 5.013 29.930
Se 2.444 6.045 19.558
Se 6.660 8.810 29.930
Se 4.721 8.810 21.934
```

Peak list (8 most intense, 2θ = 10–90°, low angle first)
3.855 Å, rel. 46
3.405 Å, rel. 51
3.318 Å, rel. 100
2.907 Å, rel. 43
2.682 Å, rel. 49
2.266 Å, rel. 37
2.085 Å, rel. 35
1.927 Å, rel. 36

***

# 5
Calculated XRD peak list
Compound: RbAg3Te2
Radiation: Cu Kα, 1.54184 Å
Structure: a structure optimized by DFT (PBE)
Intensities are scaled so that the largest is 100.

Structural model:
```
12
Lattice="8.894 -2.328 0.000 8.894 2.328 0.000 -3.642 0.000 8.643" Properties=species:S:1:pos:R:3 pbc="T T T"
Rb 2.231 0.000 0.428
Rb 11.915 0.000 8.215
Ag -0.383 0.000 3.534
Ag 3.511 0.000 4.717
Ag 5.982 0.000 3.232
Ag 8.165 0.000 5.411
Ag 10.635 0.000 3.926
Ag 14.529 0.000 5.109
Te 1.026 0.000 6.026
Te 5.709 0.000 6.705
Te 8.438 0.000 1.938
Te 13.121 0.000 2.617
```

Peak list (8 most intense, 2θ = 10–90°, low angle first)
8.643 Å, rel. 100
3.806 Å, rel. 23
3.023 Å, rel. 53
2.693 Å, rel. 36
2.454 Å, rel. 50
2.374 Å, rel. 34
2.328 Å, rel. 43
2.194 Å, rel. 26

***

# 6
Calculated XRD peak list
Compound: ReAg3
Radiation: Cu Kα, 1.54184 Å
Structure: a structure optimized by DFT (PBE)
Intensities are scaled so that the largest is 100.

Structural model:
```
8
Lattice="5.834 0.000 0.000 -2.917 5.052 0.000 0.000 0.000 4.606" Properties=species:S:1:pos:R:3 pbc="T T T"
Re 0.000 3.368 1.151
Re 2.917 1.684 3.454
Ag 0.000 1.711 3.454
Ag -1.435 4.197 3.454
Ag 1.482 0.856 1.151
Ag 1.435 4.197 3.454
Ag 4.352 0.856 1.151
Ag 2.917 3.341 1.151
```

Peak list (8 most intense, 2θ = 10–90°, low angle first)
2.526 Å, rel. 24
2.303 Å, rel. 25
2.215 Å, rel. 100
1.702 Å, rel. 14
1.458 Å, rel. 17
1.312 Å, rel. 18
1.232 Å, rel. 19
1.218 Å, rel. 14

***

# 7
Calculated XRD peak list
Compound: ReAg3
Radiation: Cu Kα, 1.54184 Å
Structure: a structure optimized by DFT (PBE)
Intensities are scaled so that the largest is 100.

Structural model:
```
16
Lattice="6.513 0.000 0.000 0.000 6.513 0.000 0.000 0.000 6.513" Properties=species:S:1:pos:R:3 pbc="T T T"
Re 0.000 0.000 0.000
Re 0.000 3.256 3.256
Re 3.256 0.000 3.256
Re 3.256 3.256 0.000
Ag 0.000 0.000 3.256
Ag 0.000 3.256 0.000
Ag 1.628 1.628 1.628
Ag 1.628 1.628 4.885
Ag 1.628 4.885 1.628
Ag 1.628 4.885 4.885
Ag 3.256 0.000 0.000
Ag 3.256 3.256 3.256
Ag 4.885 1.628 1.628
Ag 4.885 1.628 4.885
Ag 4.885 4.885 1.628
Ag 4.885 4.885 4.885
```

Peak list (8 most intense, 2θ = 10–90°, low angle first)
3.760 Å, rel. 4
3.256 Å, rel. 2
2.303 Å, rel. 100
1.964 Å, rel. 2
1.628 Å, rel. 17
1.494 Å, rel. 1
1.329 Å, rel. 33
1.151 Å, rel. 11

***

# 8
Calculated XRD peak list
Compound: Ag3Rh
Radiation: Cu Kα, 1.54184 Å
Structure: a structure optimized by DFT (PBE)
Intensities are scaled so that the largest is 100.

Structural model:
```
8
Lattice="5.788 0.000 0.000 -2.894 5.013 0.000 0.000 0.000 4.713" Properties=species:S:1:pos:R:3 pbc="T T T"
Ag 0.000 1.687 1.178
Ag -1.433 4.169 1.178
Ag 1.461 0.844 3.535
Ag 1.433 4.169 1.178
Ag 4.327 0.844 3.535
Ag 2.894 3.325 3.535
Rh 0.000 3.342 3.535
Rh 2.894 1.671 1.178
```

Peak list (8 most intense, 2θ = 10–90°, low angle first)
2.506 Å, rel. 24
2.356 Å, rel. 27
2.213 Å, rel. 100
1.717 Å, rel. 15
1.447 Å, rel. 16
1.331 Å, rel. 18
1.233 Å, rel. 19
1.211 Å, rel. 13

***

# 9
Calculated XRD peak list
Compound: AgRh
Radiation: Cu Kα, 1.54184 Å
Structure: a structure optimized by DFT (PBE)
Intensities are scaled so that the largest is 100.

Structural model:
```
2
Lattice="2.778 0.000 0.000 -1.389 2.405 0.000 0.000 0.000 4.809" Properties=species:S:1:pos:R:3 pbc="T T T"
Ag 0.000 0.000 0.000
Rh 1.389 0.802 2.404
```

Peak list (7 most intense, 2θ = 10–90°, low angle first)
2.405 Å, rel. 54
2.151 Å, rel. 100
1.701 Å, rel. 16
1.389 Å, rel. 16
1.334 Å, rel. 20
1.203 Å, rel. 25
1.167 Å, rel. 13

***

# 10
Calculated XRD peak list
Compound: Ag3Rh
Radiation: Cu Kα, 1.54184 Å
Structure: a structure optimized by DFT (PBE)
Intensities are scaled so that the largest is 100.

Structural model:
```
16
Lattice="6.496 0.000 0.000 0.000 6.496 0.000 0.000 0.000 6.496" Properties=species:S:1:pos:R:3 pbc="T T T"
Ag 0.000 0.000 0.000
Ag 0.000 3.248 3.248
Ag 1.624 1.624 1.624
Ag 1.624 1.624 4.872
Ag 1.624 4.872 1.624
Ag 1.624 4.872 4.872
Ag 3.248 0.000 3.248
Ag 3.248 3.248 0.000
Ag 4.872 1.624 1.624
Ag 4.872 1.624 4.872
Ag 4.872 4.872 1.624
Ag 4.872 4.872 4.872
Rh 0.000 0.000 3.248
Rh 0.000 3.248 0.000
Rh 3.248 0.000 0.000
Rh 3.248 3.248 3.248
```

Peak list (4 most intense, 2θ = 10–90°, low angle first)
2.297 Å, rel. 100
1.624 Å, rel. 16
1.326 Å, rel. 32
1.148 Å, rel. 10

***

# 11
Calculated XRD peak list
Compound: Ag3Rh
Radiation: Cu Kα, 1.54184 Å
Structure: a structure optimized by DFT (PBE)
Intensities are scaled so that the largest is 100.

Structural model:
```
4
Lattice="4.076 0.000 0.000 0.000 4.076 0.000 0.000 0.000 4.076" Properties=species:S:1:pos:R:3 pbc="T T T"
Ag 0.000 0.000 2.038
Ag 0.000 2.038 0.000
Ag 2.038 0.000 0.000
Rh 2.038 2.038 2.038
```

Peak list (5 most intense, 2θ = 10–90°, low angle first)
2.353 Å, rel. 100
2.038 Å, rel. 48
1.441 Å, rel. 30
1.229 Å, rel. 35
1.177 Å, rel. 10

***

# 12
Calculated XRD peak list
Compound: Sm2AgRh
Radiation: Cu Kα, 1.54184 Å
Structure: a structure optimized by DFT (PBE)
Intensities are scaled so that the largest is 100.

Structural model:
```
16
Lattice="7.194 0.000 0.000 0.000 7.194 0.000 0.000 0.000 7.194" Properties=species:S:1:pos:R:3 pbc="T T T"
Sm 1.799 1.799 1.799
Sm 1.799 1.799 5.396
Sm 1.799 5.396 1.799
Sm 1.799 5.396 5.396
Sm 5.396 1.799 1.799
Sm 5.396 1.799 5.396
Sm 5.396 5.396 1.799
Sm 5.396 5.396 5.396
Ag 0.000 0.000 0.000
Ag 0.000 3.597 3.597
Ag 3.597 0.000 3.597
Ag 3.597 3.597 0.000
Rh 0.000 0.000 3.597
Rh 0.000 3.597 0.000
Rh 3.597 0.000 0.000
Rh 3.597 3.597 3.597
```

Peak list (8 most intense, 2θ = 10–90°, low angle first)
3.597 Å, rel. 3
2.543 Å, rel. 100
2.077 Å, rel. 1
1.799 Å, rel. 18
1.609 Å, rel. 1
1.468 Å, rel. 36
1.272 Å, rel. 11
1.137 Å, rel. 16

***

# 13
Calculated XRD peak list
Compound: Ag3Ru
Radiation: Cu Kα, 1.54184 Å
Structure: a structure optimized by DFT (PBE)
Intensities are scaled so that the largest is 100.

Structural model:
```
8
Lattice="5.817 0.000 0.000 -2.909 5.038 0.000 0.000 0.000 4.701" Properties=species:S:1:pos:R:3 pbc="T T T"
Ag 0.000 1.696 1.175
Ag -1.440 4.190 1.175
Ag 1.469 0.848 3.526
Ag 1.440 4.190 1.175
Ag 4.348 0.848 3.526
Ag 2.909 3.342 3.526
Ru 0.000 3.359 3.526
Ru 2.909 1.679 1.175
```

Peak list (8 most intense, 2θ = 10–90°, low angle first)
2.519 Å, rel. 24
2.351 Å, rel. 26
2.220 Å, rel. 100
1.719 Å, rel. 15
1.454 Å, rel. 16
1.331 Å, rel. 18
1.237 Å, rel. 19
1.217 Å, rel. 13

***

# 14
Calculated XRD peak list
Compound: Sc2AgRu
Radiation: Cu Kα, 1.54184 Å
Structure: a structure optimized by DFT (PBE)
Intensities are scaled so that the largest is 100.

Structural model:
```
16
Lattice="6.630 0.000 0.000 0.000 6.630 0.000 0.000 0.000 6.630" Properties=species:S:1:pos:R:3 pbc="T T T"
Sc 1.657 1.657 1.657
Sc 1.657 1.657 4.972
Sc 1.657 4.972 1.657
Sc 1.657 4.972 4.972
Sc 4.972 1.657 1.657
Sc 4.972 1.657 4.972
Sc 4.972 4.972 1.657
Sc 4.972 4.972 4.972
Ag 0.000 0.000 0.000
Ag 0.000 3.315 3.315
Ag 3.315 0.000 3.315
Ag 3.315 3.315 0.000
Ru 0.000 0.000 3.315
Ru 0.000 3.315 0.000
Ru 3.315 0.000 0.000
Ru 3.315 3.315 3.315
```

Peak list (8 most intense, 2θ = 10–90°, low angle first)
3.315 Å, rel. 22
2.344 Å, rel. 100
1.914 Å, rel. 6
1.657 Å, rel. 16
1.482 Å, rel. 8
1.353 Å, rel. 32
1.172 Å, rel. 10
1.105 Å, rel. 4